Starting from a PBE-relaxed structure, the PXRD pattern of Tb3MnTe6 was calculated for a wavelength of 1.5418 Å.

a = 9.4995 Å, b = 9.4995 Å, c = 7.3307 Å
α = 90.00°, β = 90.00°, γ = 100.63°
Element x y z (fractional)
Tb 0.0989 0.9011 0.5000
Tb 0.2255 0.4203 0.3962
Tb 0.4203 0.2255 0.8962
Tb 0.5797 0.7745 0.3962
Tb 0.7745 0.5797 0.8962
Tb 0.9011 0.0989 0.0000
Mn 0.2911 0.7089 0.8539
Mn 0.7089 0.2911 0.3539
Te 0.0579 0.5935 0.6748
Te 0.1269 0.2006 0.6989
Te 0.2006 0.1269 0.1989
Te 0.2742 0.7258 0.2180
Te 0.4065 0.9421 0.6748
Te 0.4597 0.5403 0.7052
Te 0.5403 0.4597 0.2052
Te 0.5935 0.0579 0.1748
Te 0.7258 0.2742 0.7180
Te 0.7994 0.8731 0.6989
Te 0.8731 0.7994 0.1989
Te 0.9421 0.4065 0.1748

Top 8 peaks for 2θ from 10° to 90°, low angle first:
two_theta  I/Imax
15.37  24.1
22.58  48.7
23.11  31.1
31.22  100.0
33.56  81.0
34.66  49.3
37.97  44.8
44.82  27.8